Computed XRD peak list of Ho2ErTmMg2 for a wavelength of 1.5418 Å, from a crystal structure in OQMD, relaxed with GGA-PBE.

Largest 12 diffraction maxima, by angle, 2θ from 15° to 90°:
19.39°, d 4.577, I = 13
25.08°, d 3.551, I = 18
26.56°, d 3.355, I = 27
31.40°, d 2.849, I = 20
33.06°, d 2.710, I = 29
33.62°, d 2.666, I = 100
35.60°, d 2.522, I = 16
44.70°, d 2.027, I = 14
46.24°, d 1.963, I = 14
59.40°, d 1.556, I = 20
61.49°, d 1.508, I = 10
65.27°, d 1.430, I = 10

```
Ho2ErTmMg2
1.0
5.4198 0.0000 0.0000
0.0000 3.6300 0.0000
0.0000 0.0000 17.0916
Ho Er Tm Mg
4 2 2 4
direct
0.0000 0.0000 0.0000 Ho
0.0000 0.5000 0.5000 Ho
0.5000 0.0000 0.4528 Ho
0.5000 0.5000 0.9528 Ho
0.5000 0.0000 0.1328 Er
0.5000 0.5000 0.6328 Er
0.0000 0.0000 0.3202 Tm
0.0000 0.5000 0.8202 Tm
0.0000 0.0000 0.6614 Mg
0.0000 0.5000 0.1614 Mg
0.5000 0.0000 0.7916 Mg
0.5000 0.5000 0.2916 Mg
```

***

Computed XRD peak list of SmSnTe2AuS for a wavelength of 1.5418 Å, from a crystal structure in OQMD, relaxed with GGA-PBE.

Largest 12 diffraction maxima, by angle, 2θ from 15° to 90°:
21.59°, d 4.116, I = 21
27.66°, d 3.226, I = 69
28.47°, d 3.135, I = 18
29.01°, d 3.078, I = 39
32.69°, d 2.739, I = 100
33.79°, d 2.653, I = 31
34.47°, d 2.602, I = 28
41.16°, d 2.193, I = 41
42.14°, d 2.144, I = 35
42.63°, d 2.121, I = 19
57.67°, d 1.598, I = 18
63.74°, d 1.460, I = 18

```
SmSnTe2AuS
1.0
2.1443 -7.3209 0.0000
2.1443 7.3209 0.0000
0.0000 0.0000 10.4078
Sm Sn Te Au S
2 2 4 2 2
direct
0.0000 0.0000 0.0000 Sm
0.0000 0.0000 0.5000 Sm
0.2754 0.7246 0.7500 Sn
0.7246 0.2754 0.2500 Sn
0.3453 0.6547 0.0608 Te
0.3453 0.6547 0.4392 Te
0.6547 0.3453 0.5608 Te
0.6547 0.3453 0.9392 Te
0.4783 0.5217 0.2500 Au
0.5217 0.4783 0.7500 Au
0.0831 0.9169 0.2500 S
0.9169 0.0831 0.7500 S
```

***

Computed XRD peak list of KPrNO for a wavelength of 1.5418 Å, from a crystal structure in OQMD, relaxed with GGA-PBE.

Largest 12 diffraction maxima, by angle, 2θ from 15° to 90°:
18.13°, d 4.893, I = 79
22.87°, d 3.889, I = 23
25.78°, d 3.456, I = 48
27.44°, d 3.250, I = 66
27.72°, d 3.218, I = 58
29.34°, d 3.044, I = 100
36.01°, d 2.494, I = 24
38.22°, d 2.355, I = 25
42.88°, d 2.109, I = 39
50.04°, d 1.823, I = 31
50.51°, d 1.807, I = 22
51.83°, d 1.764, I = 38

```
KPrNO
1.0
3.8890 0.0000 0.0000
0.0000 7.5314 0.0000
0.0000 0.0000 6.4360
K Pr N O
2 2 2 2
direct
0.0000 0.1529 0.0000 K
0.0000 0.8471 0.5000 K
0.5000 0.3347 0.4895 Pr
0.5000 0.6653 0.9895 Pr
0.5000 0.3763 0.8543 N
0.5000 0.6237 0.3543 N
0.0000 0.1904 0.4146 O
0.0000 0.8096 0.9146 O
```

***

Computed XRD peak list of La2TbZn4Si4 for a wavelength of 1.5418 Å, from a crystal structure in OQMD, relaxed with GGA-PBE.

Largest 12 diffraction maxima, by angle, 2θ from 15° to 90°:
23.74°, d 3.748, I = 24
28.80°, d 3.100, I = 10
33.13°, d 2.704, I = 44
33.50°, d 2.675, I = 100
43.02°, d 2.102, I = 20
43.26°, d 2.091, I = 20
45.66°, d 1.987, I = 19
55.36°, d 1.660, I = 18
62.66°, d 1.483, I = 13
64.71°, d 1.440, I = 13
72.78°, d 1.299, I = 10
73.12°, d 1.294, I = 10

```
La2TbZn4Si4
1.0
-2.0913 2.1023 12.4000
2.0913 -2.1023 12.4000
2.0913 2.1023 -12.4000
La Tb Zn Si
2 1 4 4
direct
0.1446 0.1446 0.0000 La
0.8554 0.8554 0.0000 La
0.5000 0.0000 0.5000 Tb
0.2499 0.7499 0.5000 Zn
0.4073 0.4073 0.0000 Zn
0.5927 0.5927 0.0000 Zn
0.7501 0.2501 0.5000 Zn
0.0469 0.5469 0.5000 Si
0.3090 0.3090 0.0000 Si
0.6910 0.6910 0.0000 Si
0.9531 0.4531 0.5000 Si
```